(1)
Calculated powder XRD pattern
Compound: CsNb2Si8O24
Radiation: λ = 1.5418 Å (Cu Kα)
Structure: a DFT-relaxed cell (PBE, the Materials Project)
Kinematic intensities with the Lorentz-polarization factor, no thermal factor.

Most intense lines, 10 to 90 degrees two-theta, by angle:
- 2θ 12.92, d = 6.852 Å, I 82
- 2θ 13.53, d = 6.543 Å, I 100
- 2θ 15.80, d = 5.608 Å, I 87
- 2θ 21.23, d = 4.184 Å, I 61
- 2θ 26.23, d = 3.397 Å, I 81
- 2θ 26.59, d = 3.352 Å, I 75

Cell and atoms:
a = 7.586 Å, b = 9.139 Å, c = 9.906 Å
α = 89.86°, β = 71.63°, γ = 89.03°
Fractional coordinates of all 35 atoms:
Cs (0.000, 0.000, 0.000)
Nb (0.087, 0.254, 0.596)
Nb (0.913, 0.746, 0.404)
Si (0.264, 0.998, 0.308)
Si (0.277, 0.496, 0.310)
Si (0.420, 0.246, 0.082)
Si (0.435, 0.252, 0.761)
Si (0.565, 0.748, 0.239)
Si (0.580, 0.754, 0.918)
Si (0.723, 0.504, 0.690)
Si (0.736, 0.002, 0.692)
O (0.014, 0.774, 0.575)
O (0.087, 0.899, 0.306)
O (0.094, 0.596, 0.315)
O (0.224, 0.095, 0.454)
O (0.233, 0.398, 0.455)
O (0.248, 0.246, 0.713)
O (0.311, 0.101, 0.166)
O (0.329, 0.396, 0.167)
O (0.362, 0.777, 0.938)
O (0.366, 0.251, 0.934)
O (0.443, 0.894, 0.301)
O (0.451, 0.602, 0.302)
O (0.549, 0.398, 0.698)
O (0.557, 0.106, 0.699)
O (0.634, 0.749, 0.066)
O (0.638, 0.223, 0.062)
O (0.671, 0.604, 0.833)
O (0.689, 0.899, 0.834)
O (0.752, 0.754, 0.287)
O (0.767, 0.602, 0.545)
O (0.776, 0.905, 0.546)
O (0.906, 0.404, 0.685)
O (0.913, 0.101, 0.694)
O (0.986, 0.226, 0.425)

=====

(2)
Calculated powder XRD pattern
Compound: CsScO2
Radiation: λ = 1.5418 Å (Cu Kα)
Structure: a DFT-relaxed cell (PBE, the Materials Project)
Kinematic intensities with the Lorentz-polarization factor, no thermal factor.

Most intense lines, 10 to 90 degrees two-theta, by angle:
- 2θ 27.74, d = 3.216 Å, I 100
- 2θ 32.65, d = 2.743 Å, I 25
- 2θ 49.06, d = 1.857 Å, I 39
- 2θ 57.30, d = 1.608 Å, I 16
- 2θ 64.83, d = 1.438 Å, I 17
- 2θ 78.73, d = 1.215 Å, I 19

Cell and atoms:
a = 6.432 Å, b = 6.432 Å, c = 6.432 Å
α = 60.00°, β = 60.00°, γ = 60.00°
Fractional coordinates of all 8 atoms:
Cs (0.125, 0.125, 0.125)
Cs (0.875, 0.875, 0.875)
Sc (0.375, 0.375, 0.375)
Sc (0.625, 0.625, 0.625)
O (0.000, 0.500, 0.500)
O (0.500, 0.000, 0.500)
O (0.500, 0.500, 0.000)
O (0.500, 0.500, 0.500)

=====

(3)
Calculated powder XRD pattern
Compound: PaV
Radiation: λ = 1.5418 Å (Cu Kα)
Structure: a DFT-relaxed cell (PBE, the Materials Project)
Kinematic intensities with the Lorentz-polarization factor, no thermal factor.

Most intense lines, 10 to 90 degrees two-theta, by angle:
- 2θ 18.89, d = 4.698 Å, I 100
- 2θ 33.91, d = 2.644 Å, I 36
- 2θ 38.32, d = 2.349 Å, I 44
- 2θ 38.59, d = 2.333 Å, I 38
- 2θ 38.75, d = 2.324 Å, I 72
- 2θ 39.04, d = 2.307 Å, I 73

Cell and atoms:
a = 3.054 Å, b = 3.068 Å, c = 4.699 Å
α = 88.93°, β = 89.01°, γ = 60.49°
Fractional coordinates of all 2 atoms:
Pa (0.000, 0.000, 0.000)
V (0.665, 0.650, 0.500)

=====

(4)
Calculated powder XRD pattern
Compound: Nd2Se2F
Radiation: λ = 1.5418 Å (Cu Kα)
Structure: a DFT-relaxed cell (PBE, the Materials Project)
Kinematic intensities with the Lorentz-polarization factor, no thermal factor.

Most intense lines, 10 to 90 degrees two-theta, by angle:
- 2θ 12.87, d = 6.880 Å, I 25
- 2θ 27.47, d = 3.247 Å, I 100
- 2θ 38.11, d = 2.361 Å, I 27
- 2θ 39.25, d = 2.295 Å, I 47
- 2θ 43.09, d = 2.099 Å, I 22
- 2θ 56.72, d = 1.623 Å, I 25

Cell and atoms:
a = 3.247 Å, b = 3.247 Å, c = 13.759 Å
α = 90.00°, β = 90.00°, γ = 90.00°
Fractional coordinates of all 5 atoms:
Nd (0.000, 0.000, 0.169)
Nd (0.000, 0.000, 0.831)
Se (0.000, 0.000, 0.372)
Se (0.000, 0.000, 0.628)
F (0.000, 0.000, 0.000)

=====

(5)
Calculated powder XRD pattern
Compound: Rb3NdF6
Radiation: λ = 1.5418 Å (Cu Kα)
Structure: a DFT-relaxed cell (PBE, the Materials Project)
Kinematic intensities with the Lorentz-polarization factor, no thermal factor.

Most intense lines, 10 to 90 degrees two-theta, by angle:
- 2θ 14.95, d = 5.925 Å, I 22
- 2θ 23.82, d = 3.736 Å, I 100
- 2θ 24.88, d = 3.578 Å, I 97
- 2θ 33.94, d = 2.642 Å, I 28
- 2θ 42.54, d = 2.125 Å, I 61
- 2θ 44.45, d = 2.038 Å, I 36

Cell and atoms:
a = 7.181 Å, b = 7.181 Å, c = 7.181 Å
α = 117.31°, β = 117.31°, γ = 94.73°
Fractional coordinates of all 10 atoms:
Rb (0.000, 0.000, 0.000)
Rb (0.250, 0.750, 0.500)
Rb (0.750, 0.250, 0.500)
Nd (0.500, 0.500, 0.000)
F (0.194, 0.500, 0.694)
F (0.263, 0.263, 0.000)
F (0.500, 0.194, 0.694)
F (0.500, 0.806, 0.306)
F (0.737, 0.737, 0.000)
F (0.806, 0.500, 0.306)